# 1
Calculated powder XRD pattern
Compound: K3PaO6
Radiation: Cu Kα
Structure: a crystal structure in Alexandria, relaxed with PBE

Atomic structure:
abc: 6.5272 6.5272 10.9769
angles: 90.00 90.00 120.00
Space group P6_322 (No. 182)
Asymmetric unit:
K 0.0000 0.0000 0.0000 [2 per cell]
K 0.3333 0.6667 0.0787 [4 per cell]
Pa 0.3333 0.6667 0.7500 [2 per cell]
O 0.1024 0.4208 0.6349 [12 per cell]

Peak list (10 most intense, 5° ≤ 2θ ≤ 70°, by angle)
(hkl)  Position (°2θ)  d_spacing  I/Imax
1 0 0  15.7  5.653  31.8
1 0 1  17.6  5.025  100.0
1 0 2  22.6  3.938  28.8
1 1 0  27.3  3.264  51.9
1 0 3  29.1  3.072  52.4
2 0 3  40.3  2.237  28.9
1 1 4  43.1  2.099  33.0
3 0 0  48.3  1.884  13.8
2 1 3  49.4  1.845  31.1
3 0 4  59.5  1.553  13.5



# 2
Calculated powder XRD pattern
Compound: Ag4HgPd3
Radiation: Cu Kα
Structure: a crystal structure in Alexandria, relaxed with PBE

Atomic structure:
abc: 19.0770 2.9335 4.9504
angles: 90.00 94.05 90.00
Space group C2/m (No. 12)
Asymmetric unit:
Ag 0.1271 0.0000 0.3790 [4 per cell]
Ag 0.1300 0.5000 0.8737 [4 per cell]
Hg 0.0000 0.0000 0.0000 [2 per cell]
Pd 0.0000 0.5000 0.5000 [2 per cell]
Pd 0.2490 0.5000 0.2518 [4 per cell]

Peak list (10 most intense, 5° ≤ 2θ ≤ 70°, by angle)
(hkl)  Position (°2θ)  d_spacing  I/Imax
2 0 0  9.3  9.515  3.8
6 0 0  28.1  3.172  1.8
3 1 -1  37.9  2.375  100.0
2 0 2  38.3  2.350  32.5
5 1 1  43.8  2.068  44.0
6 0 -2  44.9  2.019  20.3
0 2 0  63.4  1.467  7.1
10 0 2  63.8  1.458  6.8
11 1 -1  64.2  1.451  13.4
1 1 -3  64.8  1.438  13.3



# 3
Calculated powder XRD pattern
Compound: CePr8Sm5
Radiation: Cu Kα
Structure: a crystal structure in Alexandria, relaxed with PBE

Atomic structure:
abc: 8.6993 8.7078 8.7243
angles: 112.91 116.29 99.52
Space group P1 (No. 1)
Asymmetric unit:
Ce 0.0000 0.0000 0.0000 [1 per cell]
Pr 0.0522 0.8295 0.4894 [1 per cell]
Pr 0.1984 0.4637 0.2676 [1 per cell]
Pr 0.3255 0.2961 0.6234 [1 per cell]
Pr 0.3615 0.0995 0.0078 [1 per cell]
Pr 0.5266 0.7885 0.7369 [1 per cell]
Pr 0.5379 0.5955 0.1368 [1 per cell]
Pr 0.9003 0.6442 0.0047 [1 per cell]
Pr 0.9423 0.2101 0.7343 [1 per cell]
Sm 0.1434 0.6195 0.7665 [1 per cell]
Sm 0.4191 0.9424 0.3612 [1 per cell]
Sm 0.6580 0.4309 0.4887 [1 per cell]
Sm 0.7145 0.2592 0.9774 [1 per cell]
Sm 0.8009 0.0679 0.2672 [1 per cell]

Peak list (10 most intense, 5° ≤ 2θ ≤ 70°, by angle)
(hkl)  Position (°2θ)  d_spacing  I/Imax
2 1 -1  25.7  3.471  28.1
-2 1 2  28.9  3.088  40.0
1 -1 2  30.6  2.924  53.8
1 -3 1  31.3  2.858  100.0
2 2 -2  31.8  2.812  47.1
1 2 -3  32.2  2.784  46.8
0 2 1  33.5  2.671  51.6
3 1 0  44.7  2.027  15.8
4 1 -4  49.5  1.842  20.8
2 -4 3  53.3  1.719  20.0



# 4
Calculated powder XRD pattern
Compound: Hf3Ge2Pd8
Radiation: Cu Kα
Structure: a crystal structure in Alexandria, relaxed with PBE

Atomic structure:
abc: 5.3140 5.3140 28.2112
angles: 90.00 90.00 120.00
Space group R-3m (No. 166, hexagonal axes)
Asymmetric unit:
Hf 0.0000 0.0000 0.0000 [3 per cell]
Hf 0.0000 0.0000 0.1900 [6 per cell]
Ge 0.0000 0.0000 0.3681 [6 per cell]
Pd 0.0000 0.0000 0.2830 [6 per cell]
Pd 0.0038 0.5019 0.7718 [18 per cell]

Peak list (10 most intense, 5° ≤ 2θ ≤ 70°, by angle)
(hkl)  Position (°2θ)  d_spacing  I/Imax
0 0 3  9.4  9.404  25.5
1 1 0  33.7  2.657  75.0
1 0 10  37.4  2.405  37.9
1 1 6  38.9  2.313  58.9
2 0 2  39.7  2.271  87.6
0 1 11  40.3  2.240  100.0
0 2 4  41.3  2.188  52.5
2 0 5  42.4  2.131  57.6
3 0 0  60.3  1.534  25.7
1 2 11  64.8  1.440  48.5



# 5
Calculated powder XRD pattern
Compound: Cs2Si3SnO9
Radiation: Cu Kα
Structure: a crystal structure in Alexandria, relaxed with PBE

Atomic structure:
abc: 8.0881 10.5189 11.9548
angles: 90.00 90.00 90.00
Space group P2_12_12_1 (No. 19)
Asymmetric unit:
Cs 0.0714 0.1093 0.0204 [4 per cell]
Cs 0.2314 0.2134 0.3949 [4 per cell]
Si 0.0615 0.8748 0.2868 [4 per cell]
Si 0.0778 0.1108 0.7091 [4 per cell]
Si 0.0835 0.4773 0.9930 [4 per cell]
Sn 0.2456 0.4096 0.7371 [4 per cell]
O 0.0315 0.8865 0.4240 [4 per cell]
O 0.0596 0.0574 0.5788 [4 per cell]
O 0.0654 0.7248 0.2551 [4 per cell]
O 0.0698 0.5516 0.7151 [4 per cell]
O 0.0778 0.2653 0.7025 [4 per cell]
O 0.0813 0.4506 0.2811 [4 per cell]
O 0.1920 0.3902 0.9085 [4 per cell]
O 0.1929 0.5753 0.0679 [4 per cell]
O 0.2434 0.9420 0.2596 [4 per cell]

Peak list (10 most intense, 5° ≤ 2θ ≤ 70°, by angle)
(hkl)  Position (°2θ)  d_spacing  I/Imax
1 0 2  18.4  4.810  25.1
1 1 2  20.3  4.372  36.1
0 1 3  23.9  3.726  23.1
2 1 1  24.7  3.600  44.6
1 2 2  25.1  3.548  45.8
1 1 3  26.3  3.385  64.4
0 3 1  26.5  3.365  28.9
1 3 1  28.8  3.102  100.0
2 0 3  31.5  2.837  23.8
3 3 1  43.0  2.103  27.9



# 6
Calculated powder XRD pattern
Compound: La3CdPd3
Radiation: Cu Kα
Structure: a crystal structure in Alexandria, relaxed with PBE

Atomic structure:
abc: 9.0668 9.0668 5.8329
angles: 90.00 90.00 120.00
Space group P6_3/m (No. 176)
Asymmetric unit:
La 0.0461 0.6888 0.2500 [6 per cell]
Cd 0.3333 0.6667 0.7500 [2 per cell]
Pd 0.0371 0.6839 0.7500 [6 per cell]

Peak list (10 most intense, 5° ≤ 2θ ≤ 70°, by angle)
(hkl)  Position (°2θ)  d_spacing  I/Imax
1 0 0  11.3  7.852  11.5
1 1 0  19.6  4.533  41.3
2 0 1  27.4  3.257  12.9
1 2 0  30.1  2.968  29.5
0 0 2  30.7  2.916  59.6
3 0 0  34.3  2.617  100.0
1 1 2  36.6  2.453  16.6
1 2 2  43.5  2.080  21.4
3 0 2  46.6  1.948  83.3
1 3 2  52.5  1.745  13.3



# 7
Calculated powder XRD pattern
Compound: Pr3Ge4Pd7
Radiation: Cu Kα
Structure: a crystal structure in Alexandria, relaxed with PBE

Atomic structure:
abc: 16.1026 4.1845 9.7745
angles: 90.00 125.77 90.00
Space group C2/m (No. 12)
Asymmetric unit:
Pr 0.0000 0.0000 0.0000 [2 per cell]
Pr 0.1758 0.5000 0.6726 [4 per cell]
Ge 0.1088 0.0000 0.8263 [4 per cell]
Ge 0.1635 0.5000 0.2691 [4 per cell]
Pd 0.0000 0.0000 0.5000 [2 per cell]
Pd 0.0089 0.5000 0.2812 [4 per cell]
Pd 0.1688 0.0000 0.4249 [4 per cell]
Pd 0.1929 0.5000 0.0317 [4 per cell]

Peak list (10 most intense, 5° ≤ 2θ ≤ 70°, by angle)
(hkl)  Position (°2θ)  d_spacing  I/Imax
3 1 0  29.6  3.017  20.6
1 1 2  34.6  2.589  100.0
6 0 -3  34.9  2.572  59.7
5 1 -2  35.3  2.545  81.6
4 0 -4  36.8  2.443  24.6
5 1 -3  37.9  2.374  25.1
6 0 0  41.5  2.177  37.5
0 2 0  43.2  2.092  71.0
6 2 0  61.5  1.509  23.2
9 1 -6  65.7  1.422  28.6



# 8
Calculated powder XRD pattern
Compound: Ho4TiZn5
Radiation: Cu Kα
Structure: a crystal structure in Alexandria, relaxed with PBE

Atomic structure:
abc: 3.4693 3.4693 17.3930
angles: 90.00 90.00 90.00
Space group P4/mmm (No. 123)
Asymmetric unit:
Ho 0.0000 0.0000 0.1051 [2 per cell]
Ho 0.0000 0.0000 0.3137 [2 per cell]
Ti 0.0000 0.0000 0.5000 [1 per cell]
Zn 0.5000 0.5000 0.0000 [1 per cell]
Zn 0.5000 0.5000 0.2096 [2 per cell]
Zn 0.5000 0.5000 0.4215 [2 per cell]

Peak list (10 most intense, 5° ≤ 2θ ≤ 70°, by angle)
(hkl)  Position (°2θ)  d_spacing  I/Imax
0 0 1  5.1  17.393  4.7
0 0 5  25.7  3.472  14.3
1 0 4  33.0  2.712  9.9
1 1 0  36.6  2.455  100.0
1 1 5  45.2  2.005  4.3
0 0 10  52.6  1.739  3.5
2 0 0  52.8  1.735  12.6
2 0 5  59.6  1.552  3.9
1 1 9  61.0  1.518  5.7
2 1 5  65.9  1.417  29.1



# 9
Calculated powder XRD pattern
Compound: Sr3Li2Ga2
Radiation: Cu Kα
Structure: a crystal structure in Alexandria, relaxed with PBE

Atomic structure:
abc: 4.5157 4.8590 20.5978
angles: 90.00 90.00 90.00
Space group Immm (No. 71)
Asymmetric unit:
Sr 0.0000 0.0000 0.0000 [2 per cell]
Sr 0.0000 0.5000 0.1794 [4 per cell]
Li 0.0000 0.5000 0.3732 [4 per cell]
Ga 0.0000 0.0000 0.4389 [4 per cell]

Peak list (10 most intense, 5° ≤ 2θ ≤ 70°, by angle)
(hkl)  Position (°2θ)  d_spacing  I/Imax
0 0 2  8.6  10.299  27.4
0 1 1  18.8  4.729  19.7
0 1 3  22.4  3.966  35.4
1 1 2  28.3  3.149  100.0
1 0 5  29.3  3.043  40.0
0 2 0  37.0  2.429  23.3
2 0 0  39.9  2.258  18.8
0 1 9  43.7  2.070  22.3
1 2 5  47.9  1.899  20.2
1 0 11  52.9  1.730  18.3



# 10
Calculated powder XRD pattern
Compound: BeCr2
Radiation: Cu Kα
Structure: a crystal structure in Alexandria, relaxed with PBE

Atomic structure:
abc: 4.7511 3.8744 6.8540
angles: 90.00 90.00 90.00
Space group Pnma (No. 62)
Asymmetric unit:
Be 0.1885 0.2500 0.0727 [4 per cell]
Cr 0.0159 0.2500 0.7346 [4 per cell]
Cr 0.1846 0.2500 0.4067 [4 per cell]

Peak list (10 most intense, 5° ≤ 2θ ≤ 70°, by angle)
(hkl)  Position (°2θ)  d_spacing  I/Imax
1 0 1  22.8  3.905  26.3
0 1 1  26.4  3.373  18.2
1 0 2  32.2  2.779  38.8
1 1 1  32.6  2.750  62.9
2 1 0  44.7  2.025  26.7
0 1 3  46.1  1.968  100.0
2 0 2  46.5  1.952  37.6
2 1 1  46.8  1.942  87.6
0 2 0  46.9  1.937  50.2
2 2 2  68.2  1.375  21.0



# 11
Calculated powder XRD pattern
Compound: Ac2PrTl5
Radiation: Cu Kα
Structure: a crystal structure in Alexandria, relaxed with PBE

Atomic structure:
abc: 5.7407 5.7407 15.7030
angles: 90.00 90.00 90.00
Space group I4/mmm (No. 139)
Asymmetric unit:
Ac 0.0000 0.0000 0.2390 [4 per cell]
Pr 0.0000 0.0000 0.5000 [2 per cell]
Tl 0.0000 0.0000 0.0000 [2 per cell]
Tl 0.0000 0.5000 0.1137 [8 per cell]

Peak list (10 most intense, 5° ≤ 2θ ≤ 70°, by angle)
(hkl)  Position (°2θ)  d_spacing  I/Imax
1 1 2  24.7  3.606  3.4
2 0 0  31.2  2.870  55.7
1 1 4  31.7  2.822  100.0
2 2 0  44.6  2.030  21.1
0 0 8  46.3  1.963  7.4
2 0 6  47.0  1.934  2.3
3 1 4  55.8  1.648  41.5
2 0 8  56.8  1.620  16.2
4 0 0  65.0  1.435  7.0
2 2 8  66.2  1.411  10.2